Calculated powder X-ray diffraction pattern
Compound: Tm2CdGe2
Radiation: Cu Kα (weighted mean of Kα1 and Kα2)
Structure: DFT lattice parameters and positions (PBE)
No peak broadening, texture or thermal motion is included.

Top 6 peaks for 2θ = 10–90°, sorted by position:
- d 3.234, I = 20
- d 2.731, I = 48
- d 2.555, I = 100
- d 2.288, I = 30
- d 2.082, I = 19
- d 1.617, I = 18

Cell and atoms:
Unit cell a=7.236 b=7.236 c=4.163 alpha=90.00 beta=90.00 gamma=90.00
Space group P4/mbm (No. 127)
Asymmetric unit:
1 Tm 0.177 0.323 0.000
2 Cd 0.000 0.000 0.500
3 Ge 0.123 0.623 0.500